The following is a simulated powder diffractogram of CaSn5Cl12. It was derived from the PBE geometry in Alexandria, using CuKα.
Neutral-atom scattering factors, no anomalous dispersion.

Largest 10 diffraction maxima, by intensity, 10° ≤ 2θ ≤ 90°:
2θ (°), I/Imax, (hkl)
13.65, 100, 0 0 2
31.82, 66, 1 3 3
27.78, 50, 2 0 2
25.02, 50, 1 3 -1
42.98, 42, 3 3 -1
42.55, 33, 1 3 5
36.90, 26, 2 0 -4
42.23, 13, 0 6 0
77.72, 13, 3 9 -1
48.81, 12, 2 0 -6

Structure:
```
data_CaSn5Cl12
_space_group_name_H-M_alt 'C 1 2/m 1'
_space_group_IT_number 12
_cell_length_a 7.3802
_cell_length_b 12.8406
_cell_length_c 12.9724
_cell_angle_alpha 90.00
_cell_angle_beta 90.05
_cell_angle_gamma 90.00
loop_
_space_group_symop_operation_xyz
'x,y,z'
'-x,-y,-z'
'-x,y,-z'
'x,-y,z'
'x+1/2,y+1/2,z'
'-x+1/2,-y+1/2,-z'
'-x+1/2,y+1/2,-z'
'x+1/2,-y+1/2,z'
loop_
_atom_site_label
_atom_site_type_symbol
_atom_site_fract_x
_atom_site_fract_y
_atom_site_fract_z
Ca1 Ca 0.0000 0.0000 0.0000
Sn1 Sn 0.0000 0.1666 0.5000
Sn2 Sn 0.0000 0.3333 0.0000
Sn3 Sn 0.0000 0.5000 0.5000
Cl1 Cl 0.1606 0.1610 0.1102
Cl2 Cl 0.1660 0.0000 0.3844
Cl3 Cl 0.1659 0.3332 0.3843
Cl4 Cl 0.1776 0.5000 0.1102
```